Structure and theoretical XRD peak list of NaNdTiO4 (a crystal structure in Alexandria, relaxed with PBE; copper Kα).
Kinematic intensities with the Lorentz-polarization factor, no thermal factor.

Main lines, by intensity (2θ from 5° to 70°):
| Position (°2θ) | d_spacing | I/Imax |
| --- | --- | --- |
| 6.7 | 13.127 | 100 |
| 31.4 | 2.850 | 43 |
| 27.4 | 3.260 | 42 |
| 33.8 | 2.655 | 31 |
| 48.5 | 1.878 | 18 |
| 58.9 | 1.568 | 15 |
| 43.9 | 2.064 | 13 |
| 48.8 | 1.867 | 11 |
| 56.6 | 1.627 | 11 |
| 34.5 | 2.603 | 8 |

Crystal structure
a = 3.755 Å, b = 3.755 Å, c = 13.127 Å
α = 90.00°, β = 90.00°, γ = 90.00°
Fractional positions:
Na: 0.250 0.250 0.083
Na: 0.750 0.750 0.917
Nd: 0.250 0.250 0.392
Nd: 0.750 0.750 0.608
Ti: 0.250 0.250 0.771
Ti: 0.750 0.750 0.229
O: 0.250 0.250 0.569
O: 0.250 0.250 0.906
O: 0.250 0.750 0.266
O: 0.250 0.750 0.734
O: 0.750 0.250 0.266
O: 0.750 0.250 0.734
O: 0.750 0.750 0.094
O: 0.750 0.750 0.431

---

Structure and theoretical XRD peak list of Na3NdTl2O6 (a crystal structure in Alexandria, relaxed with PBE; copper Kα).
Kinematic intensities with the Lorentz-polarization factor, no thermal factor.

Main lines, by intensity (2θ from 5° to 70°):
| Position (°2θ) | d_spacing | I/Imax |
| --- | --- | --- |
| 15.6 | 5.683 | 100 |
| 31.8 | 2.818 | 62 |
| 36.7 | 2.450 | 54 |
| 30.4 | 2.945 | 38 |
| 36.9 | 2.437 | 27 |
| 31.5 | 2.842 | 22 |
| 30.5 | 2.934 | 19 |
| 52.8 | 1.733 | 18 |
| 53.2 | 1.723 | 18 |
| 40.2 | 2.244 | 17 |

Crystal structure
a = 5.976 Å, b = 5.976 Å, c = 6.010 Å
α = 99.34°, β = 99.34°, γ = 120.14°
Fractional positions:
Na: 0.000 0.000 0.000
Na: 0.324 0.676 0.000
Na: 0.676 0.324 0.000
Nd: 0.500 0.500 0.500
Tl: 0.166 0.834 0.500
Tl: 0.834 0.166 0.500
O: 0.085 0.425 0.274
O: 0.235 0.235 0.729
O: 0.425 0.085 0.274
O: 0.575 0.915 0.726
O: 0.765 0.765 0.271
O: 0.915 0.575 0.726

---

Structure and theoretical XRD peak list of Na3NdTm2O6 (a crystal structure in Alexandria, relaxed with PBE; copper Kα).
Kinematic intensities with the Lorentz-polarization factor, no thermal factor.

Main lines, by intensity (2θ from 5° to 70°):
| Position (°2θ) | d_spacing | I/Imax |
| --- | --- | --- |
| 15.8 | 5.592 | 100 |
| 37.0 | 2.430 | 83 |
| 31.9 | 2.809 | 61 |
| 30.5 | 2.935 | 53 |
| 53.2 | 1.721 | 28 |
| 53.4 | 1.715 | 26 |
| 55.9 | 1.645 | 23 |
| 63.4 | 1.467 | 22 |
| 40.5 | 2.229 | 21 |
| 32.0 | 2.796 | 21 |

Crystal structure
a = 5.964 Å, b = 5.964 Å, c = 5.931 Å
α = 99.58°, β = 99.58°, γ = 120.05°
Fractional positions:
Na: 0.000 0.000 0.000
Na: 0.327 0.673 0.000
Na: 0.673 0.327 0.000
Nd: 0.500 0.500 0.500
Tm: 0.167 0.833 0.500
Tm: 0.833 0.167 0.500
O: 0.082 0.430 0.290
O: 0.222 0.222 0.712
O: 0.430 0.082 0.290
O: 0.570 0.918 0.710
O: 0.778 0.778 0.288
O: 0.918 0.570 0.710